Diffraction record for BaMgGaAs2. The X-ray diffraction stick pattern is simulated, not measured: it uses a DFT-relaxed cell (PBE, Alexandria) and Cu Ka.
Intensities are scaled so that the largest is 100.

a b c (Å): 7.5800 6.0401 6.3098
angles (deg): 90.00 114.58 90.00
Positions (direct):
Ba1 0.0000 0.2312 0.2500
Ba2 0.0000 0.7688 0.7500
Mg1 0.5000 0.4990 0.2500
Mg2 0.5000 0.5010 0.7500
Ga1 0.5000 0.0000 0.0000
Ga2 0.5000 0.0000 0.5000
As1 0.2410 0.2711 0.8696
As2 0.2410 0.7289 0.3696
As3 0.7590 0.2711 0.6304
As4 0.7590 0.7289 0.1304

Principal peaks in the range 2θ from 15° to 90°, most intense first:
index	Position (°2θ)	I (rel.)
1 0 -2	28.2	100
2 1 1	38.6	34
1 2 0	32.4	24
3 1 -3	50.0	13
0 2 2	43.5	13
1 2 -2	41.4	11
1 1 3	57.2	11
2 3 -1	51.6	11
2 3 1	58.6	9
0 2 0	29.6	9